Theoretical X-ray diffraction stick pattern of Ba2ErZnSe5 for CuKα, from a cell relaxed with GGA-PBE.

Structure:
```
18
Lattice="2.1319 -9.4696 0.0000 2.1319 9.4696 0.0000 0.0000 0.0000 13.2332" Properties=species:S:1:pos:R:3 pbc="T T T"
Ba 2.1319 7.2129 6.6166
Ba 2.1319 7.0781 1.7551
Ba 2.1319 -7.0781 8.3717
Ba 2.1319 -7.2129 0.0000
Er 2.1319 5.6230 10.9479
Er 2.1319 -5.6230 4.3313
Zn 2.1319 1.1660 3.2251
Zn 2.1319 -1.1660 9.8417
Se 2.1319 8.5372 11.1567
Se 2.1319 3.8184 6.2218
Se 2.1319 3.6189 2.3842
Se 2.1319 2.8529 10.8367
Se 2.1319 0.0101 7.7154
Se 2.1319 -0.0101 1.0988
Se 2.1319 -2.8529 4.2201
Se 2.1319 -3.6189 9.0008
Se 2.1319 -3.8184 12.8384
Se 2.1319 -8.5372 4.5401
```

Principal peaks in the range 2θ from 15° to 90°, by angle:
- 22.23°, intensity 17
- 29.08°, intensity 46
- 29.52°, intensity 100
- 34.45°, intensity 40
- 40.45°, intensity 15
- 42.40°, intensity 24
- 48.42°, intensity 23
- 52.24°, intensity 18


Theoretical X-ray diffraction stick pattern of Li3BiO4 for CuKα, from a cell relaxed with GGA-PBE.

Structure:
```
16
Lattice="6.6638 0.0000 0.0000 0.0000 5.7468 0.0000 0.0000 0.0000 5.2499" Properties=species:S:1:pos:R:3 pbc="T T T"
Li 0.0000 1.0442 0.0000
Li 1.6685 1.9553 2.6313
Li 1.6634 3.7916 0.0064
Li 3.3319 4.7026 2.6249
Li 4.9953 1.9553 2.6313
Li 5.0004 3.7916 0.0064
Bi 0.0000 4.8233 2.6095
Bi 3.3319 0.9235 5.2345
O 0.0000 1.0109 3.2537
O 0.0000 4.7947 0.5551
O 1.6621 3.8373 3.2649
O 1.6698 1.9095 0.6400
O 3.3319 0.9521 3.1800
O 3.3319 4.7359 0.6288
O 4.9940 1.9095 0.6400
O 5.0017 3.8373 3.2649
```

Principal peaks in the range 2θ from 15° to 90°, by angle:
- 15.42°, intensity 30
- 20.41°, intensity 81
- 21.55°, intensity 100
- 22.94°, intensity 62
- 26.61°, intensity 34
- 26.76°, intensity 30
- 35.56°, intensity 52
- 40.12°, intensity 31


Theoretical X-ray diffraction stick pattern of Tm2Fe17H3 for CuKα, from a cell relaxed with GGA-PBE.

Structure:
```
44
Lattice="8.4835 0.0000 0.0000 -4.2418 7.3469 0.0000 0.0000 0.0000 8.1852" Properties=species:S:1:pos:R:3 pbc="T T T"
Tm 0.0000 0.0000 2.0463
Tm 0.0000 0.0000 6.1389
Tm 0.0000 4.8980 2.0463
Tm 4.2418 2.4490 6.1389
Fe -2.1209 3.6735 0.0000
Fe -2.1209 3.6735 4.0926
Fe -1.1960 2.7582 6.1389
Fe -2.4511 4.9321 6.1389
Fe 0.0000 2.4448 0.1302
Fe 0.0000 2.4448 3.9624
Fe -2.1245 6.1246 0.1302
Fe -2.1245 6.1246 3.9624
Fe 1.1960 2.7582 6.1389
Fe -1.2551 7.0036 6.1389
Fe 2.1173 1.2224 4.2227
Fe 2.1173 1.2224 8.0550
Fe 0.0000 4.8980 4.9548
Fe 0.0000 4.8980 7.3229
Fe 2.9867 0.3433 2.0463
Fe 1.7907 2.4149 2.0463
Fe 4.2418 0.0000 0.0000
Fe 4.2418 0.0000 4.0926
Fe 2.1209 3.6735 0.0000
Fe 2.1209 3.6735 4.0926
Fe 2.4511 4.9321 6.1389
Fe 1.2551 7.0036 6.1389
Fe 4.2418 2.4490 0.8623
Fe 4.2418 2.4490 3.2303
Fe 2.1245 6.1246 0.1302
Fe 2.1245 6.1246 3.9624
Fe 5.4968 0.3433 2.0463
Fe 3.0458 4.5887 2.0463
Fe 6.3663 1.2224 4.2227
Fe 6.3663 1.2224 8.0550
Fe 4.2418 4.9022 4.2227
Fe 4.2418 4.9022 8.0550
Fe 6.6928 2.4149 2.0463
Fe 5.4378 4.5887 2.0463
H 0.0000 2.4186 2.0463
H -2.1472 6.1376 2.0463
H 2.0946 1.2093 6.1389
H 2.1472 6.1376 2.0463
H 6.3889 1.2093 6.1389
H 4.2418 4.9283 6.1389
```

Principal peaks in the range 2θ from 15° to 90°, by angle:
- 30.35°, intensity 46
- 36.70°, intensity 42
- 41.22°, intensity 34
- 42.63°, intensity 64
- 43.04°, intensity 100
- 44.26°, intensity 32
- 62.19°, intensity 20
- 63.14°, intensity 19


Please write out number 2 again, unchanged.
Theoretical X-ray diffraction stick pattern of Li3BiO4 for CuKα, from a cell relaxed with GGA-PBE.

Structure:
```
16
Lattice="6.6638 0.0000 0.0000 0.0000 5.7468 0.0000 0.0000 0.0000 5.2499" Properties=species:S:1:pos:R:3 pbc="T T T"
Li 0.0000 1.0442 0.0000
Li 1.6685 1.9553 2.6313
Li 1.6634 3.7916 0.0064
Li 3.3319 4.7026 2.6249
Li 4.9953 1.9553 2.6313
Li 5.0004 3.7916 0.0064
Bi 0.0000 4.8233 2.6095
Bi 3.3319 0.9235 5.2345
O 0.0000 1.0109 3.2537
O 0.0000 4.7947 0.5551
O 1.6621 3.8373 3.2649
O 1.6698 1.9095 0.6400
O 3.3319 0.9521 3.1800
O 3.3319 4.7359 0.6288
O 4.9940 1.9095 0.6400
O 5.0017 3.8373 3.2649
```

Principal peaks in the range 2θ from 15° to 90°, by angle:
- 15.42°, intensity 30
- 20.41°, intensity 81
- 21.55°, intensity 100
- 22.94°, intensity 62
- 26.61°, intensity 34
- 26.76°, intensity 30
- 35.56°, intensity 52
- 40.12°, intensity 31